Computed powder X-ray diffraction pattern of LiOsPb2 for CuKα, from a DFT-relaxed cell (PBE, Alexandria).

Principal peaks in the range 10° ≤ 2θ ≤ 90°, in order of rising 2θ:
2θ (°)	Rel. int.
11.60	63
26.61	15
35.67	100
37.99	45
39.85	13
44.75	22
54.81	16
62.53	16
67.13	33
73.35	10

```
4
Lattice="3.3498 0.0000 0.0000 0.0000 3.3498 0.0000 0.0000 0.0000 7.6278" Properties=species:S:1:pos:R:3 pbc="T T T"
Li 0.0000 0.0000 0.0000
Os 0.0000 0.0000 3.8139
Pb 1.6749 1.6749 2.1025
Pb 1.6749 1.6749 5.5253
```